# CaY5
Theoretical powder diffraction line list, CuKα. Input: the GGA-PBE geometry in Alexandria.

```
CaY5
1.0
13.224 0.000 0.000
0.000 3.661 0.000
-2.024 0.000 8.372
Ca Y
2 10
Direct
0.000 0.000 0.000 Ca
0.500 0.500 0.000 Ca
0.118 0.500 0.715 Y
0.170 0.500 0.339 Y
0.274 0.000 0.060 Y
0.332 0.000 0.660 Y
0.443 0.500 0.394 Y
0.618 0.000 0.715 Y
0.670 0.000 0.339 Y
0.774 0.500 0.060 Y
0.832 0.500 0.660 Y
0.943 0.000 0.394 Y
```

Main lines, sorted by position (2θ from 15° to 90°):
- 28.09 deg, I 25
- 30.84 deg, I 25
- 32.13 deg, I 100
- 42.20 deg, I 16
- 49.67 deg, I 12
- 49.81 deg, I 6
- 55.67 deg, I 19
- 59.61 deg, I 14
- 59.74 deg, I 7
- 60.32 deg, I 5
- 60.49 deg, I 10
- 85.32 deg, I 5

# CaY2Zn
Theoretical powder diffraction line list, CuKα. Input: the GGA-PBE geometry in Alexandria.

```
CaY2Zn
1.0
7.708 0.000 0.000
0.000 7.708 0.000
0.000 0.000 7.708
Ca Y Zn
4 8 4
Direct
0.000 0.000 0.000 Ca
0.000 0.500 0.500 Ca
0.500 0.000 0.500 Ca
0.500 0.500 0.000 Ca
0.000 0.000 0.500 Y
0.000 0.500 0.000 Y
0.250 0.250 0.750 Y
0.250 0.750 0.250 Y
0.500 0.000 0.000 Y
0.500 0.500 0.500 Y
0.750 0.250 0.250 Y
0.750 0.750 0.750 Y
0.250 0.250 0.250 Zn
0.250 0.750 0.750 Zn
0.750 0.250 0.750 Zn
0.750 0.750 0.250 Zn
```

Main lines, sorted by position (2θ from 15° to 90°):
- 19.95 deg, I 7
- 23.08 deg, I 1
- 32.86 deg, I 100
- 38.74 deg, I 4
- 47.16 deg, I 18
- 51.69 deg, I 2
- 58.68 deg, I 35
- 62.62 deg, I 1
- 68.91 deg, I 11
- 72.55 deg, I 1
- 78.47 deg, I 14
- 87.72 deg, I 4

# CaY2Zn4
Theoretical powder diffraction line list, CuKα. Input: the GGA-PBE geometry in Alexandria.

```
CaY2Zn4
1.0
2.479 1.431 8.159
-2.479 1.431 8.159
0.000 -2.863 8.159
Ca Y Zn
1 2 4
Direct
0.000 0.000 0.000 Ca
0.243 0.243 0.243 Y
0.757 0.757 0.757 Y
0.122 0.122 0.122 Zn
0.393 0.393 0.393 Zn
0.607 0.607 0.607 Zn
0.878 0.878 0.878 Zn
```

Main lines, sorted by position (2θ from 15° to 90°):
- 21.78 deg, I 27
- 21.93 deg, I 14
- 27.63 deg, I 10
- 36.04 deg, I 76
- 36.23 deg, I 100
- 42.68 deg, I 30
- 52.03 deg, I 25
- 56.86 deg, I 8
- 65.05 deg, I 25
- 65.17 deg, I 17
- 76.90 deg, I 10
- 87.99 deg, I 11

# CaYZr2
Theoretical powder diffraction line list, CuKα. Input: the GGA-PBE geometry in Alexandria.

```
CaYZr2
1.0
4.703 0.000 0.000
0.000 4.703 0.000
0.000 0.000 9.923
Ca Y Zr
2 2 4
Direct
0.000 0.000 0.000 Ca
0.500 0.500 0.500 Ca
0.000 0.000 0.500 Y
0.500 0.500 0.000 Y
0.000 0.500 0.250 Zr
0.000 0.500 0.750 Zr
0.500 0.000 0.250 Zr
0.500 0.000 0.750 Zr
```

Main lines, sorted by position (2θ from 15° to 90°):
- 20.90 deg, I 7
- 32.41 deg, I 100
- 36.21 deg, I 18
- 38.27 deg, I 31
- 53.71 deg, I 23
- 55.24 deg, I 10
- 62.74 deg, I 14
- 65.52 deg, I 24
- 67.85 deg, I 11
- 81.94 deg, I 3
- 88.39 deg, I 11
- 89.28 deg, I 5

# CaYZr4
Theoretical powder diffraction line list, CuKα. Input: the GGA-PBE geometry in Alexandria.

```
CaYZr4
1.0
0.000 4.346 4.346
4.346 0.000 4.346
4.346 4.346 0.000
Ca Y Zr
1 1 4
Direct
0.000 0.000 0.000 Ca
0.750 0.750 0.750 Y
0.378 0.378 0.378 Zr
0.378 0.378 0.867 Zr
0.378 0.867 0.378 Zr
0.867 0.378 0.378 Zr
```

Main lines, sorted by position (2θ from 15° to 90°):
- 17.67 deg, I 23
- 29.06 deg, I 18
- 34.21 deg, I 100
- 35.78 deg, I 52
- 41.56 deg, I 10
- 45.48 deg, I 5
- 51.50 deg, I 7
- 54.88 deg, I 33
- 60.22 deg, I 29
- 71.12 deg, I 11
- 72.07 deg, I 19
- 85.88 deg, I 20

# CaYb6
Theoretical powder diffraction line list, CuKα. Input: the GGA-PBE geometry in Alexandria.

```
CaYb6
1.0
9.208 0.000 0.000
0.000 9.208 0.000
0.000 0.000 9.208
Ca Yb
2 12
Direct
0.000 0.000 0.000 Ca
0.500 0.500 0.500 Ca
0.000 0.250 0.500 Yb
0.000 0.500 0.250 Yb
0.000 0.500 0.750 Yb
0.000 0.750 0.500 Yb
0.250 0.000 0.500 Yb
0.250 0.500 0.000 Yb
0.500 0.000 0.250 Yb
0.500 0.000 0.750 Yb
0.500 0.250 0.000 Yb
0.500 0.750 0.000 Yb
0.750 0.000 0.500 Yb
0.750 0.500 0.000 Yb
```

Main lines, sorted by position (2θ from 15° to 90°):
- 19.28 deg, I 41
- 23.67 deg, I 100
- 27.40 deg, I 21
- 30.71 deg, I 31
- 33.72 deg, I 88
- 36.51 deg, I 65
- 39.13 deg, I 52
- 41.61 deg, I 21
- 50.54 deg, I 24
- 56.54 deg, I 36
- 62.14 deg, I 21
- 67.47 deg, I 36

# CaYb3
Theoretical powder diffraction line list, CuKα. Input: the GGA-PBE geometry in Alexandria.

```
CaYb3
1.0
7.516 0.000 0.000
0.000 10.584 0.000
0.000 0.000 3.763
Ca Yb
2 6
Direct
0.000 0.000 0.000 Ca
0.500 0.500 0.000 Ca
0.000 0.500 0.001 Yb
0.250 0.250 0.502 Yb
0.250 0.750 0.502 Yb
0.500 0.000 0.001 Yb
0.750 0.250 0.502 Yb
0.750 0.750 0.502 Yb
```

Main lines, sorted by position (2θ from 15° to 90°):
- 27.82 deg, I 6
- 29.13 deg, I 100
- 33.71 deg, I 34
- 33.88 deg, I 17
- 48.41 deg, I 12
- 48.54 deg, I 25
- 57.50 deg, I 30
- 57.73 deg, I 15
- 60.40 deg, I 13
- 78.60 deg, I 12
- 80.83 deg, I 6
- 80.93 deg, I 6

# CaZn
Theoretical powder diffraction line list, CuKα. Input: the GGA-PBE geometry in Alexandria.

```
CaZn
1.0
4.080 0.000 0.000
0.000 11.581 0.000
0.000 0.000 4.475
Ca Zn
4 4
Direct
0.000 0.147 0.250 Ca
0.000 0.853 0.750 Ca
0.500 0.353 0.750 Ca
0.500 0.647 0.250 Ca
0.000 0.436 0.250 Zn
0.000 0.564 0.750 Zn
0.500 0.064 0.750 Zn
0.500 0.936 0.250 Zn
```

Main lines, sorted by position (2θ from 15° to 90°):
- 15.30 deg, I 49
- 23.11 deg, I 42
- 30.64 deg, I 100
- 31.92 deg, I 50
- 36.98 deg, I 69
- 37.86 deg, I 97
- 40.31 deg, I 39
- 44.41 deg, I 29
- 51.58 deg, I 20
- 52.31 deg, I 23
- 59.12 deg, I 32
- 61.51 deg, I 21

# Ca2Zn7
Theoretical powder diffraction line list, CuKα. Input: the GGA-PBE geometry in Alexandria.

```
Ca2Zn7
1.0
2.718 1.569 13.085
-2.718 1.569 13.085
0.000 -3.138 13.085
Ca Zn
4 14
Direct
0.053 0.053 0.053 Ca
0.151 0.151 0.151 Ca
0.849 0.849 0.849 Ca
0.947 0.947 0.947 Ca
0.000 0.500 0.500 Zn
0.106 0.611 0.611 Zn
0.279 0.279 0.279 Zn
0.388 0.388 0.388 Zn
0.389 0.389 0.894 Zn
0.389 0.894 0.389 Zn
0.500 0.000 0.500 Zn
0.500 0.500 0.000 Zn
0.500 0.500 0.500 Zn
0.611 0.106 0.611 Zn
0.611 0.611 0.106 Zn
0.612 0.612 0.612 Zn
0.721 0.721 0.721 Zn
0.894 0.389 0.389 Zn
```

Main lines, sorted by position (2θ from 15° to 90°):
- 18.99 deg, I 40
- 32.95 deg, I 16
- 38.31 deg, I 23
- 38.52 deg, I 9
- 39.05 deg, I 100
- 41.40 deg, I 31
- 42.60 deg, I 35
- 43.66 deg, I 10
- 44.90 deg, I 26
- 62.95 deg, I 23
- 69.12 deg, I 23
- 83.89 deg, I 22

# Ca4Zn5
Theoretical powder diffraction line list, CuKα. Input: the GGA-PBE geometry in Alexandria.

```
Ca4Zn5
1.0
9.077 0.000 0.000
-4.539 7.861 0.000
0.000 0.000 6.289
Ca Zn
8 10
Direct
0.000 0.000 0.000 Ca
0.000 0.000 0.500 Ca
0.000 0.369 0.250 Ca
0.000 0.631 0.750 Ca
0.369 0.000 0.250 Ca
0.369 0.369 0.750 Ca
0.631 0.000 0.750 Ca
0.631 0.631 0.250 Ca
0.000 0.300 0.750 Zn
0.000 0.700 0.250 Zn
0.300 0.000 0.750 Zn
0.300 0.300 0.250 Zn
0.333 0.667 0.000 Zn
0.333 0.667 0.500 Zn
0.667 0.333 0.000 Zn
0.667 0.333 0.500 Zn
0.700 0.000 0.250 Zn
0.700 0.700 0.750 Zn
```

Main lines, sorted by position (2θ from 15° to 90°):
- 24.18 deg, I 11
- 33.35 deg, I 21
- 34.22 deg, I 99
- 34.71 deg, I 100
- 43.95 deg, I 7
- 49.54 deg, I 31
- 58.72 deg, I 8
- 61.29 deg, I 14
- 61.59 deg, I 26
- 64.45 deg, I 7
- 69.76 deg, I 22
- 82.55 deg, I 9

# Ca4Zn3
Theoretical powder diffraction line list, CuKα. Input: the GGA-PBE geometry in Alexandria.

```
Ca4Zn3
1.0
2.615 1.510 8.369
-2.615 1.510 8.369
0.000 -3.020 8.369
Ca Zn
4 3
Direct
0.124 0.124 0.124 Ca
0.375 0.375 0.375 Ca
0.625 0.625 0.625 Ca
0.876 0.876 0.876 Ca
0.248 0.248 0.248 Zn
0.500 0.500 0.500 Zn
0.752 0.752 0.752 Zn
```

Main lines, sorted by position (2θ from 15° to 90°):
- 19.92 deg, I 13
- 20.85 deg, I 12
- 34.29 deg, I 100
- 34.78 deg, I 96
- 49.64 deg, I 33
- 61.41 deg, I 17
- 61.72 deg, I 32
- 62.66 deg, I 15
- 72.26 deg, I 10
- 73.41 deg, I 9
- 82.76 deg, I 13
- 83.59 deg, I 13

# CaZn13
Theoretical powder diffraction line list, CuKα. Input: the GGA-PBE geometry in Alexandria.

```
CaZn13
1.0
0.000 6.112 6.112
6.112 0.000 6.112
6.112 6.112 0.000
Ca Zn
2 26
Direct
0.250 0.250 0.250 Ca
0.750 0.750 0.750 Ca
0.000 0.000 0.000 Zn
0.059 0.301 0.699 Zn
0.059 0.699 0.941 Zn
0.059 0.941 0.301 Zn
0.199 0.441 0.801 Zn
0.199 0.559 0.441 Zn
0.199 0.801 0.559 Zn
0.301 0.059 0.941 Zn
0.301 0.699 0.059 Zn
0.301 0.941 0.699 Zn
0.441 0.199 0.559 Zn
0.441 0.559 0.801 Zn
0.441 0.801 0.199 Zn
0.500 0.500 0.500 Zn
0.559 0.199 0.801 Zn
0.559 0.441 0.199 Zn
0.559 0.801 0.441 Zn
0.699 0.059 0.301 Zn
0.699 0.301 0.941 Zn
0.699 0.941 0.059 Zn
0.801 0.199 0.441 Zn
0.801 0.441 0.559 Zn
0.801 0.559 0.199 Zn
0.941 0.059 0.699 Zn
0.941 0.301 0.059 Zn
0.941 0.699 0.301 Zn
```

Main lines, sorted by position (2θ from 15° to 90°):
- 32.76 deg, I 14
- 35.99 deg, I 49
- 41.80 deg, I 6
- 43.81 deg, I 100
- 44.47 deg, I 46
- 47.01 deg, I 6
- 70.14 deg, I 17
- 73.97 deg, I 8
- 76.33 deg, I 9
- 78.20 deg, I 8
- 81.44 deg, I 6
- 85.11 deg, I 14

# CaZn6
Theoretical powder diffraction line list, CuKα. Input: the GGA-PBE geometry in Alexandria.

```
CaZn6
1.0
8.346 0.000 0.000
0.000 5.371 0.000
0.000 0.000 10.703
Ca Zn
4 24
Direct
0.240 0.250 0.061 Ca
0.260 0.750 0.561 Ca
0.740 0.250 0.439 Ca
0.760 0.750 0.939 Ca
0.066 0.013 0.310 Zn
0.066 0.487 0.310 Zn
0.067 0.750 0.093 Zn
0.093 0.250 0.521 Zn
0.137 0.750 0.858 Zn
0.187 0.250 0.756 Zn
0.313 0.750 0.256 Zn
0.363 0.250 0.358 Zn
0.407 0.750 0.021 Zn
0.433 0.250 0.593 Zn
0.434 0.513 0.810 Zn
0.434 0.987 0.810 Zn
0.566 0.013 0.190 Zn
0.566 0.487 0.190 Zn
0.567 0.750 0.407 Zn
0.593 0.250 0.979 Zn
0.637 0.750 0.642 Zn
0.687 0.250 0.744 Zn
0.813 0.750 0.244 Zn
0.863 0.250 0.142 Zn
0.907 0.750 0.479 Zn
0.933 0.250 0.907 Zn
0.934 0.513 0.690 Zn
0.934 0.987 0.690 Zn
```

Main lines, sorted by position (2θ from 15° to 90°):
- 21.34 deg, I 25
- 33.36 deg, I 17
- 35.22 deg, I 24
- 37.14 deg, I 33
- 37.36 deg, I 51
- 37.47 deg, I 14
- 40.84 deg, I 34
- 43.55 deg, I 100
- 43.65 deg, I 26
- 44.22 deg, I 26
- 47.12 deg, I 13
- 68.47 deg, I 12